This entry pairs a crystal structure of Li3Mn2CoO6 with its computed powder X-ray diffraction pattern. Radiation: Cu Kα. Structure: a crystal structure in the Materials Project, relaxed with GGA+U.
Intensities are scaled so that the largest is 1000.

a = 5.111 Å, b = 5.111 Å, c = 9.172 Å
α = 116.10°, β = 116.10°, γ = 32.44°
Fractional coordinates of all 12 atoms:
Li 0.000 0.000 0.000
Li 0.334 0.334 0.656
Li 0.666 0.666 0.344
Mn 0.331 0.331 0.173
Mn 0.669 0.669 0.827
Co 0.000 0.000 0.500
O 0.016 0.016 0.749
O 0.323 0.323 0.907
O 0.350 0.350 0.432
O 0.650 0.650 0.568
O 0.677 0.677 0.093
O 0.984 0.984 0.251

The 8 most intense peaks (2θ from 5° to 70°), sorted by position:
18.14 deg, d = 4.889 Å, I = 1000; 32.96 deg, d = 2.718 Å, I = 223; 36.36 deg, d = 2.471 Å, I = 285; 39.30 deg, d = 2.293 Å, I = 358; 44.46 deg, d = 2.038 Å, I = 480; 46.33 deg, d = 1.960 Å, I = 115; 60.58 deg, d = 1.529 Å, I = 161; 61.06 deg, d = 1.518 Å, I = 155

This entry pairs a crystal structure of K3VSO3 with its computed powder X-ray diffraction pattern. Radiation: Cu Kα. Structure: a crystal structure in the Materials Project, relaxed with GGA+U.
Intensities are scaled so that the largest is 1000.

a = 6.707 Å, b = 5.994 Å, c = 8.864 Å
α = 90.00°, β = 102.64°, γ = 90.00°
Fractional coordinates of all 16 atoms:
K 0.187 0.250 0.032
K 0.253 0.250 0.503
K 0.281 0.750 0.778
K 0.719 0.250 0.222
K 0.747 0.750 0.497
K 0.813 0.750 0.968
V 0.196 0.750 0.291
V 0.804 0.250 0.709
S 0.442 0.750 0.152
S 0.558 0.250 0.848
O 0.046 0.516 0.242
O 0.046 0.984 0.242
O 0.307 0.750 0.486
O 0.693 0.250 0.514
O 0.954 0.016 0.758
O 0.954 0.484 0.758

The 8 most intense peaks (2θ from 5° to 70°), sorted by position:
26.62 deg, d = 3.348 Å, I = 435; 26.94 deg, d = 3.309 Å, I = 180; 27.25 deg, d = 3.272 Å, I = 211; 29.81 deg, d = 2.997 Å, I = 534; 31.00 deg, d = 2.885 Å, I = 1000; 33.99 deg, d = 2.637 Å, I = 267; 40.83 deg, d = 2.210 Å, I = 309; 53.66 deg, d = 1.708 Å, I = 174

This entry pairs a crystal structure of Ba10Nd4YMo5O30 with its computed powder X-ray diffraction pattern. Radiation: Cu Kα. Structure: a crystal structure in the Materials Project, relaxed with GGA+U.
Intensities are scaled so that the largest is 1000.

a = 6.062 Å, b = 6.113 Å, c = 25.085 Å
α = 84.01°, β = 83.12°, γ = 60.31°
Fractional coordinates of all 50 atoms:
Ba 0.048 0.047 0.350
Ba 0.152 0.149 0.048
Ba 0.251 0.248 0.751
Ba 0.348 0.349 0.450
Ba 0.451 0.450 0.147
Ba 0.549 0.550 0.853
Ba 0.652 0.651 0.550
Ba 0.749 0.752 0.249
Ba 0.848 0.851 0.952
Ba 0.952 0.953 0.650
Nd 0.098 0.100 0.199
Nd 0.298 0.300 0.600
Nd 0.702 0.700 0.400
Nd 0.902 0.900 0.801
Y 0.500 0.500 0.000
Mo 0.000 0.000 0.500
Mo 0.198 0.200 0.902
Mo 0.399 0.400 0.299
Mo 0.601 0.600 0.701
Mo 0.802 0.800 0.098
O 0.006 0.088 0.864
O 0.061 0.525 0.855
O 0.099 0.564 0.355
O 0.112 0.643 0.046
O 0.143 0.673 0.547
O 0.195 0.116 0.539
O 0.217 0.282 0.261
O 0.259 0.729 0.253
O 0.290 0.841 0.447
O 0.299 0.766 0.755
O 0.343 0.867 0.949
O 0.387 0.318 0.941
O 0.418 0.483 0.662
O 0.463 0.927 0.653
O 0.499 0.956 0.150
O 0.501 0.044 0.850
O 0.537 0.073 0.347
O 0.582 0.517 0.338
O 0.613 0.682 0.059
O 0.657 0.133 0.051
O 0.701 0.234 0.245
O 0.710 0.159 0.553
O 0.741 0.271 0.747
O 0.783 0.718 0.739
O 0.805 0.884 0.461
O 0.857 0.327 0.453
O 0.888 0.357 0.954
O 0.901 0.436 0.645
O 0.939 0.475 0.145
O 0.994 0.912 0.136

The 8 most intense peaks (2θ from 5° to 70°), sorted by position:
29.21 deg, d = 3.057 Å, I = 1000; 29.47 deg, d = 3.031 Å, I = 257; 29.52 deg, d = 3.026 Å, I = 255; 41.37 deg, d = 2.182 Å, I = 158; 42.20 deg, d = 2.141 Å, I = 284; 51.62 deg, d = 1.771 Å, I = 212; 52.13 deg, d = 1.755 Å, I = 260; 60.58 deg, d = 1.528 Å, I = 183

Repeat the second record exactly.
This entry pairs a crystal structure of K3VSO3 with its computed powder X-ray diffraction pattern. Radiation: Cu Kα. Structure: a crystal structure in the Materials Project, relaxed with GGA+U.
Intensities are scaled so that the largest is 1000.

a = 6.707 Å, b = 5.994 Å, c = 8.864 Å
α = 90.00°, β = 102.64°, γ = 90.00°
Fractional coordinates of all 16 atoms:
K 0.187 0.250 0.032
K 0.253 0.250 0.503
K 0.281 0.750 0.778
K 0.719 0.250 0.222
K 0.747 0.750 0.497
K 0.813 0.750 0.968
V 0.196 0.750 0.291
V 0.804 0.250 0.709
S 0.442 0.750 0.152
S 0.558 0.250 0.848
O 0.046 0.516 0.242
O 0.046 0.984 0.242
O 0.307 0.750 0.486
O 0.693 0.250 0.514
O 0.954 0.016 0.758
O 0.954 0.484 0.758

The 8 most intense peaks (2θ from 5° to 70°), sorted by position:
26.62 deg, d = 3.348 Å, I = 435; 26.94 deg, d = 3.309 Å, I = 180; 27.25 deg, d = 3.272 Å, I = 211; 29.81 deg, d = 2.997 Å, I = 534; 31.00 deg, d = 2.885 Å, I = 1000; 33.99 deg, d = 2.637 Å, I = 267; 40.83 deg, d = 2.210 Å, I = 309; 53.66 deg, d = 1.708 Å, I = 174

> Number 2 is which compound?

K3VSO3